(1)
The following is a calculated X-ray diffraction stick pattern of Mn3Cr2Sb3O16. It was derived from the GGA+U geometry in the Materials Project, using a wavelength of 1.5418 Å.
Peak positions follow from Bragg's law for the DFT cell and can differ from measured ones.

Crystal structure
```
data_Mn3Cr2Sb3O16
_space_group_name_H-M_alt 'C 1 m 1'
_space_group_IT_number 8
_cell_length_a 10.5744
_cell_length_b 6.0320
_cell_length_c 9.0467
_cell_angle_alpha 90.00
_cell_angle_beta 90.22
_cell_angle_gamma 90.00
loop_
_space_group_symop_operation_xyz
'x,y,z'
'x,-y,z'
'x+1/2,y+1/2,z'
'x+1/2,-y+1/2,z'
loop_
_atom_site_label
_atom_site_fract_x
_atom_site_fract_y
_atom_site_fract_z
_atom_site_occupancy
Mn1 0.0000 0.0000 0.0000 1
Mn2 0.4172 0.2489 0.4954 1
Cr1 0.1607 0.0000 0.2781 1
Cr2 0.4897 0.0000 0.7694 1
Sb1 0.1662 0.5000 0.4948 1
Sb2 0.2487 0.2486 0.9951 1
O1 0.0652 0.2825 0.6229 1
O2 0.0932 0.2147 0.1227 1
O3 0.1635 0.5000 0.8820 1
O4 0.1777 0.0000 0.8715 1
O5 0.2494 0.2507 0.3895 1
O6 0.3090 0.0000 0.1324 1
O7 0.3193 0.5000 0.1121 1
O8 0.3364 0.5000 0.6010 1
O9 0.3551 0.0000 0.6155 1
O10 0.4131 0.2529 0.8905 1
O11 0.4932 0.5000 0.3886 1
O12 0.4947 0.0000 0.3852 1
```

Main lines, most intense first (15° ≤ 2θ ≤ 90°):
| 2θ/deg | intensity | h k l |
| --- | --- | --- |
| 19.61 | 100.0 | 0 0 2 |
| 35.67 | 45.9 | 2 2 -1 |
| 45.89 | 29.4 | 2 2 3 |
| 19.46 | 26.5 | 2 0 1 |
| 26.01 | 20.5 | 2 0 2 |
| 35.37 | 19.1 | 4 0 -1 |
| 39.77 | 16.7 | 2 2 2 |
| 60.88 | 16.4 | 6 2 0 |



(2)
The following is a calculated X-ray diffraction stick pattern of Fe10O9F11. It was derived from the GGA+U geometry in the Materials Project, using a wavelength of 1.5418 Å.
Peak positions follow from Bragg's law for the DFT cell and can differ from measured ones.

Crystal structure
```
data_Fe10O9F11
_space_group_name_H-M_alt 'C 1 2 1'
_space_group_IT_number 5
_cell_length_a 6.6006
_cell_length_b 6.8603
_cell_length_c 15.4968
_cell_angle_alpha 90.00
_cell_angle_beta 90.21
_cell_angle_gamma 90.00
loop_
_space_group_symop_operation_xyz
'x,y,z'
'-x,y,-z'
'x+1/2,y+1/2,z'
'-x+1/2,y+1/2,-z'
loop_
_atom_site_label
_atom_site_fract_x
_atom_site_fract_y
_atom_site_fract_z
_atom_site_occupancy
Fe1 0.0000 0.9999 0.0000 1
Fe2 0.9998 0.0000 0.3878 1
Fe3 0.0000 0.5479 0.5000 1
Fe4 0.0046 0.5340 0.6971 1
Fe5 0.0109 0.0318 0.7977 1
Fe6 0.0277 0.5315 0.0911 1
O1 0.0000 0.7239 0.0000 1
O2 0.0023 0.7146 0.5983 1
O3 0.1777 0.0242 0.8992 1
O4 0.1966 0.0240 0.2967 1
O5 0.2032 0.0241 0.7013 1
F1 0.0000 0.3095 0.0000 1
F2 0.0021 0.3272 0.5951 1
F3 0.0020 0.3351 0.2003 1
F4 0.0034 0.7213 0.2004 1
F5 0.1902 0.0195 0.4999 1
F6 0.2109 0.0223 0.1020 1
```

Main lines, most intense first (15° ≤ 2θ ≤ 90°):
| 2θ/deg | intensity | h k l |
| --- | --- | --- |
| 25.98 | 100.0 | 0 2 0 |
| 34.54 | 99.9 | 1 1 5 |
| 27.02 | 96.5 | 2 0 0 |
| 51.56 | 59.2 | 1 3 5 |
| 66.14 | 28.5 | 3 3 -5 |
| 52.83 | 28.4 | 3 1 5 |
| 52.65 | 25.7 | 3 1 -5 |
| 66.29 | 20.6 | 3 3 5 |